This entry pairs a crystal structure of Cs2LaTbS4 with its simulated powder X-ray diffraction pattern. Radiation: Cu Kα (λ = 1.5418 Å). Structure: a cell relaxed with PBE.
No peak broadening, texture or thermal motion is included.

Structural model:
Cell: 4.2235 4.2235 16.1173 Å, 90.00 90.00 120.00°
Space group P-3m1 (No. 164)
One atom of each set of equivalent atoms:
Cs (0.3333, 0.6667, 0.2468) (multiplicity 2)
La (0.0000, 0.0000, 0.5000) (multiplicity 1)
Tb (0.0000, 0.0000, 0.0000) (multiplicity 1)
S (0.3333, 0.6667, 0.5975) (multiplicity 2)
S (0.3333, 0.6667, 0.9115) (multiplicity 2)

Principal peaks in the range 2θ = 15–90°, in order of rising 2θ:
- 22.06°, rel. 35, (0 0 4)
- 24.96°, rel. 19, (0 1 1)
- 26.77°, rel. 100, (0 1 2)
- 29.54°, rel. 57, (1 0 3)
- 41.72°, rel. 45, (0 1 6)
- 42.82°, rel. 41, (1 1 0)
- 48.68°, rel. 27, (1 1 4)
- 51.22°, rel. 17, (2 0 2)

***

This entry pairs a crystal structure of Nd2P2IrOsN2 with its simulated powder X-ray diffraction pattern. Radiation: Cu Kα (λ = 1.5418 Å). Structure: a cell relaxed with PBE.
No peak broadening, texture or thermal motion is included.

Structural model:
Cell: 4.0423 4.0423 8.5962 Å, 90.00 90.00 90.00°
Space group P-4m2 (No. 115)
One atom of each set of equivalent atoms:
Nd (0.0000, 0.5000, 0.1374) (multiplicity 2)
P (0.0000, 0.5000, 0.6426) (multiplicity 2)
Ir (0.0000, 0.0000, 0.5000) (multiplicity 1)
Os (0.5000, 0.5000, 0.5000) (multiplicity 1)
N (0.0000, 0.0000, 0.0000) (multiplicity 1)
N (0.5000, 0.5000, 0.0000) (multiplicity 1)

Principal peaks in the range 2θ = 15–90°, in order of rising 2θ:
- 20.67°, rel. 39, (0 0 2)
- 30.35°, rel. 61, (1 0 2)
- 31.22°, rel. 34, (0 0 3)
- 33.03°, rel. 100, (1 1 1)
- 37.80°, rel. 60, (1 1 2)
- 44.84°, rel. 53, (2 0 0)
- 53.33°, rel. 61, (1 1 4)
- 89.12°, rel. 32, (3 1 4)

***

This entry pairs a crystal structure of Ta2Be2Re with its simulated powder X-ray diffraction pattern. Radiation: Cu Kα (λ = 1.5418 Å). Structure: a cell relaxed with PBE.
No peak broadening, texture or thermal motion is included.

Structural model:
Cell: 6.3259 6.3259 3.2884 Å, 90.00 90.00 90.00°
Space group P4/mbm (No. 127)
One atom of each set of equivalent atoms:
Ta (0.1780, 0.3220, 0.0000) (multiplicity 4)
Be (0.1181, 0.6181, 0.5000) (multiplicity 4)
Re (0.0000, 0.0000, 0.5000) (multiplicity 2)

Principal peaks in the range 2θ = 15–90°, in order of rising 2θ:
- 31.63°, rel. 66, (2 1 0)
- 33.83°, rel. 56, (1 1 1)
- 39.53°, rel. 100, (2 0 1)
- 40.33°, rel. 30, (2 2 0)
- 42.14°, rel. 69, (2 1 1)
- 45.33°, rel. 48, (3 1 0)
- 67.35°, rel. 25, (4 1 1)
- 69.18°, rel. 32, (3 3 1)